Diffraction record for Ac8Hg2Pd. The PXRD pattern is computed, not measured: it uses the GGA-PBE geometry in Alexandria and Cu Ka.
No peak broadening, texture or thermal motion is included.

Most intense lines, 5° ≤ 2θ ≤ 70°, most intense first:
hkl, Position (°2θ), Rel. int.
5 1 0, 27.88, 100
1 1 -2, 28.43, 96
0 2 0, 32.41, 82
1 1 2, 29.61, 54
3 1 1, 25.19, 39
3 1 -2, 30.16, 36
7 1 3, 55.28, 34
5 1 -1, 28.91, 27
7 1 -1, 36.26, 25
5 1 -2, 34.39, 24

a = 19.8627 Å, b = 5.5247 Å, c = 7.6348 Å
α = 90.00°, β = 98.90°, γ = 90.00°
Space group C2/m (No. 12)
Symmetry-distinct sites (fractional):
Ac 0.0191 0.0000 0.2717 (multiplicity 4)
Ac 0.0913 0.5000 0.9581 (multiplicity 4)
Ac 0.1516 0.5000 0.4792 (multiplicity 4)
Ac 0.2073 0.0000 0.8262 (multiplicity 4)
Hg 0.1891 0.0000 0.2505 (multiplicity 4)
Pd 0.0000 0.5000 0.5000 (multiplicity 2)

=====

Diffraction record for Ac3HgPd5. The PXRD pattern is computed, not measured: it uses the GGA-PBE geometry in Alexandria and Cu Ka.
No peak broadening, texture or thermal motion is included.

Most intense lines, 5° ≤ 2θ ≤ 70°, most intense first:
hkl, Position (°2θ), Rel. int.
2 1 3, 31.72, 100
2 2 0, 28.88, 59
3 1 0, 32.40, 54
2 0 4, 35.86, 52
4 0 2, 43.98, 42
4 2 4, 55.82, 25
4 1 3, 48.38, 24
2 0 2, 25.04, 22
2 0 6, 49.37, 19
3 1 2, 35.64, 18

a = 8.7451 Å, b = 8.7451 Å, c = 12.2185 Å
α = 90.00°, β = 90.00°, γ = 90.00°
Space group I4/mcm (No. 140)
Symmetry-distinct sites (fractional):
Ac 0.0000 0.0000 0.2500 (multiplicity 4)
Ac 0.1406 0.3594 0.0000 (multiplicity 8)
Hg 0.0000 0.5000 0.2500 (multiplicity 4)
Pd 0.0000 0.0000 0.0000 (multiplicity 4)
Pd 0.1937 0.3063 0.3491 (multiplicity 16)

=====

Diffraction record for Ac4HgPd2. The PXRD pattern is computed, not measured: it uses the GGA-PBE geometry in Alexandria and Cu Ka.
No peak broadening, texture or thermal motion is included.

Most intense lines, 5° ≤ 2θ ≤ 70°, most intense first:
hkl, Position (°2θ), Rel. int.
3 1 1, 28.12, 100
1 1 5, 33.35, 71
0 4 0, 25.06, 69
4 2 4, 46.11, 34
0 4 4, 35.71, 27
0 2 2, 17.64, 21
4 4 0, 44.23, 21
2 0 6, 42.15, 19
2 6 0, 42.24, 19
3 5 5, 53.15, 17

a = 10.0183 Å, b = 14.2037 Å, c = 14.2460 Å
α = 90.00°, β = 90.00°, γ = 90.00°
Space group Fddd (No. 70, origin choice 2)
Symmetry-distinct sites (fractional):
Ac 0.0420 0.2806 0.4686 (multiplicity 32)
Hg 0.1250 0.1250 0.6250 (multiplicity 8)
Pd 0.0000 0.0000 0.0000 (multiplicity 16)

=====

Diffraction record for Ac3Hg3Pd2. The PXRD pattern is computed, not measured: it uses the GGA-PBE geometry in Alexandria and Cu Ka.
No peak broadening, texture or thermal motion is included.

Most intense lines, 5° ≤ 2θ ≤ 70°, most intense first:
hkl, Position (°2θ), Rel. int.
1 1 4, 29.48, 100
1 3 3, 34.58, 68
2 0 0, 41.90, 34
1 3 0, 31.22, 32
1 3 4, 37.01, 29
0 4 1, 31.50, 26
1 1 5, 33.00, 25
0 2 7, 37.75, 20
1 1 10, 55.02, 18
0 4 4, 36.91, 18

a = 4.3121 Å, b = 11.4989 Å, c = 18.3308 Å
α = 90.00°, β = 90.00°, γ = 90.00°
Space group Cmcm (No. 63)
Symmetry-distinct sites (fractional):
Ac 0.0000 0.0719 0.1038 (multiplicity 8)
Ac 0.0000 0.3351 0.2500 (multiplicity 4)
Hg 0.0000 0.3581 0.0352 (multiplicity 8)
Hg 0.0000 0.3852 0.7500 (multiplicity 4)
Pd 0.0000 0.2258 0.6246 (multiplicity 8)

=====

Diffraction record for Ac5HgPd2. The PXRD pattern is computed, not measured: it uses the GGA-PBE geometry in Alexandria and Cu Ka.
No peak broadening, texture or thermal motion is included.

Most intense lines, 5° ≤ 2θ ≤ 70°, most intense first:
hkl, Position (°2θ), Rel. int.
2 1 3, 29.74, 100
0 2 4, 32.30, 41
1 3 0, 33.08, 34
3 1 0, 33.18, 34
1 1 4, 28.62, 30
3 3 4, 51.85, 24
4 4 0, 61.35, 23
2 1 1, 24.06, 22
3 1 8, 61.47, 17
2 2 0, 29.55, 16

a = 8.5352 Å, b = 8.5679 Å, c = 14.5611 Å
α = 90.00°, β = 90.00°, γ = 90.00°
Space group Ibam (No. 72)
Symmetry-distinct sites (fractional):
Ac 0.0000 0.0000 0.0000 (multiplicity 4)
Ac 0.1598 0.3392 0.1399 (multiplicity 16)
Hg 0.0000 0.0000 0.2500 (multiplicity 4)
Pd 0.1317 0.3692 0.5000 (multiplicity 8)

=====

Diffraction record for Ac2HgPd9. The PXRD pattern is computed, not measured: it uses the GGA-PBE geometry in Alexandria and Cu Ka.
No peak broadening, texture or thermal motion is included.

Most intense lines, 5° ≤ 2θ ≤ 70°, most intense first:
hkl, Position (°2θ), Rel. int.
1 1 3, 36.77, 100
2 0 0, 42.09, 35
2 0 6, 62.49, 19
0 0 6, 43.96, 14
2 2 0, 61.04, 12
1 0 0, 20.69, 8
1 0 3, 30.06, 6
0 0 3, 21.57, 4
1 1 0, 29.42, 3
2 1 3, 52.58, 3

a = 4.2940 Å, b = 4.2940 Å, c = 12.3574 Å
α = 90.00°, β = 90.00°, γ = 90.00°
Space group P4/mmm (No. 123)
Symmetry-distinct sites (fractional):
Ac 0.0000 0.0000 0.1768 (multiplicity 2)
Hg 0.0000 0.0000 0.5000 (multiplicity 1)
Pd 0.0000 0.5000 0.0000 (multiplicity 2)
Pd 0.0000 0.5000 0.3478 (multiplicity 4)
Pd 0.5000 0.5000 0.1728 (multiplicity 2)
Pd 0.5000 0.5000 0.5000 (multiplicity 1)

=====

Diffraction record for Ac7Hg2Pd2. The PXRD pattern is computed, not measured: it uses the GGA-PBE geometry in Alexandria and Cu Ka.
No peak broadening, texture or thermal motion is included.

Most intense lines, 5° ≤ 2θ ≤ 70°, most intense first:
hkl, Position (°2θ), Rel. int.
2 2 2, 34.36, 100
0 4 0, 29.10, 71
2 2 0, 25.26, 62
1 1 2, 26.20, 55
1 3 2, 33.48, 49
0 2 2, 27.18, 31
2 0 1, 23.63, 29
0 4 4, 56.06, 23
0 0 4, 46.80, 22
2 6 2, 55.04, 20

a = 8.6122 Å, b = 12.2754 Å, c = 7.7648 Å
α = 90.00°, β = 90.00°, γ = 90.00°
Space group Cmmm (No. 65)
Symmetry-distinct sites (fractional):
Ac 0.0000 0.0000 0.0000 (multiplicity 2)
Ac 0.0000 0.5000 0.2517 (multiplicity 4)
Ac 0.2500 0.2500 0.2598 (multiplicity 8)
Hg 0.1717 0.0000 0.5000 (multiplicity 4)
Pd 0.0000 0.2948 0.0000 (multiplicity 4)

=====

Diffraction record for AcHgPd2. The PXRD pattern is computed, not measured: it uses the GGA-PBE geometry in Alexandria and Cu Ka.
No peak broadening, texture or thermal motion is included.

Most intense lines, 5° ≤ 2θ ≤ 70°, most intense first:
hkl, Position (°2θ), Rel. int.
1 1 1, 28.19, 100
2 0 0, 31.32, 95
1 1 2, 35.14, 90
1 0 3, 39.42, 85
0 2 0, 40.91, 48
2 2 2, 58.26, 42
2 0 2, 39.68, 32
1 2 3, 58.09, 26
3 1 1, 53.86, 26
2 1 4, 62.98, 22

a = 5.7148 Å, b = 4.4122 Å, c = 7.4895 Å
α = 90.00°, β = 90.00°, γ = 90.00°
Space group Pmma (No. 51)
Symmetry-distinct sites (fractional):
Ac 0.2500 0.0000 0.2329 (multiplicity 2)
Hg 0.2500 0.5000 0.8698 (multiplicity 2)
Pd 0.0000 0.5000 0.5000 (multiplicity 2)
Pd 0.2500 0.0000 0.6381 (multiplicity 2)

=====

Diffraction record for AcPrHgPd. The PXRD pattern is computed, not measured: it uses the GGA-PBE geometry in Alexandria and Cu Ka.
No peak broadening, texture or thermal motion is included.

Most intense lines, 5° ≤ 2θ ≤ 70°, most intense first:
hkl, Position (°2θ), Rel. int.
2 2 0, 32.91, 100
4 2 2, 58.76, 39
4 0 0, 47.23, 18
4 4 0, 69.01, 12
1 1 1, 19.98, 7
3 1 1, 38.80, 4
3 3 1, 51.76, 2
5 1 1, 62.71, 2
2 0 0, 23.11, 1

a = 7.6984 Å, b = 7.6984 Å, c = 7.6984 Å
α = 90.00°, β = 90.00°, γ = 90.00°
Space group F-43m (No. 216)
Symmetry-distinct sites (fractional):
Ac 0.0000 0.0000 0.0000 (multiplicity 4)
Pr 0.0000 0.0000 0.5000 (multiplicity 4)
Hg 0.2500 0.2500 0.7500 (multiplicity 4)
Pd 0.2500 0.2500 0.2500 (multiplicity 4)

=====

Diffraction record for Ac2HgPdRh. The PXRD pattern is computed, not measured: it uses the GGA-PBE geometry in Alexandria and Cu Ka.
No peak broadening, texture or thermal motion is included.

Most intense lines, 5° ≤ 2θ ≤ 70°, most intense first:
hkl, Position (°2θ), Rel. int.
0 1 2, 30.65, 100
2 1 0, 31.51, 80
2 0 -2, 25.73, 43
0 2 0, 40.73, 38
2 1 -3, 39.23, 32
1 1 -2, 29.30, 19
2 0 2, 39.90, 19
0 0 3, 34.71, 19
2 1 -1, 29.99, 18
2 2 -2, 48.80, 16

a = 8.0823 Å, b = 4.4309 Å, c = 8.4716 Å
α = 90.00°, β = 113.76°, γ = 90.00°
Space group P2_1/m (No. 11)
Symmetry-distinct sites (fractional):
Ac 0.1092 0.2500 0.3455 (multiplicity 2)
Ac 0.3240 0.7500 0.0631 (multiplicity 2)
Hg 0.4197 0.7500 0.6275 (multiplicity 2)
Pd 0.2480 0.2500 0.7356 (multiplicity 2)
Rh 0.0487 0.2500 0.9216 (multiplicity 2)

=====

Diffraction record for Ac2SiHg2Pd4. The PXRD pattern is computed, not measured: it uses the GGA-PBE geometry in Alexandria and Cu Ka.
No peak broadening, texture or thermal motion is included.

Most intense lines, 5° ≤ 2θ ≤ 70°, most intense first:
hkl, Position (°2θ), Rel. int.
2 0 2, 33.20, 100
2 2 0, 37.43, 51
4 2 2, 64.85, 29
4 0 0, 53.97, 18
1 0 3, 33.00, 16
2 1 3, 42.63, 14
2 0 0, 26.23, 14
2 2 4, 56.42, 12
1 1 4, 44.96, 9
1 1 6, 66.02, 8

a = 6.7953 Å, b = 6.7953 Å, c = 8.8840 Å
α = 90.00°, β = 90.00°, γ = 90.00°
Space group I4/mmm (No. 139)
Symmetry-distinct sites (fractional):
Ac 0.0000 0.5000 0.2500 (multiplicity 4)
Si 0.0000 0.0000 0.0000 (multiplicity 2)
Hg 0.0000 0.0000 0.3217 (multiplicity 4)
Pd 0.2469 0.2469 0.0000 (multiplicity 8)

=====

Diffraction record for SrAcHgPd. The PXRD pattern is computed, not measured: it uses the GGA-PBE geometry in Alexandria and Cu Ka.
No peak broadening, texture or thermal motion is included.

Most intense lines, 5° ≤ 2θ ≤ 70°, most intense first:
hkl, Position (°2θ), Rel. int.
1 1 1, 29.39, 100
1 1 3, 35.69, 68
0 1 7, 55.02, 28
1 0 4, 34.65, 25
0 0 4, 28.21, 25
2 0 0, 40.04, 20
2 2 0, 58.96, 20
0 2 0, 41.39, 19
1 0 0, 19.71, 15
2 1 3, 50.48, 13

a = 4.5037 Å, b = 4.3632 Å, c = 12.6540 Å
α = 90.00°, β = 90.00°, γ = 90.00°
Space group Amm2 (No. 38)
Symmetry-distinct sites (fractional):
Sr 0.0000 0.0000 0.0000 (multiplicity 2)
Ac 0.5000 0.0000 0.7167 (multiplicity 2)
Hg 0.5000 0.0000 0.4270 (multiplicity 2)
Pd 0.0000 0.0000 0.2619 (multiplicity 2)

=====

Diffraction record for Ac4PmHg3. The PXRD pattern is computed, not measured: it uses the GGA-PBE geometry in Alexandria and Cu Ka.
No peak broadening, texture or thermal motion is included.

Most intense lines, 5° ≤ 2θ ≤ 70°, most intense first:
hkl, Position (°2θ), Rel. int.
1 1 2, 31.13, 100
0 2 0, 30.55, 27
0 0 4, 30.11, 26
1 3 2, 54.66, 21
1 1 6, 54.11, 20
0 2 4, 43.42, 20
2 2 4, 64.91, 12
2 2 0, 56.02, 10
2 0 4, 55.75, 10
2 0 0, 45.76, 9

a = 3.9657 Å, b = 5.8528 Å, c = 11.8738 Å
α = 90.00°, β = 90.00°, γ = 90.00°
Space group Pmmm (No. 47)
Symmetry-distinct sites (fractional):
Ac 0.0000 0.0000 0.0000 (multiplicity 1)
Ac 0.0000 0.0000 0.5000 (multiplicity 1)
Ac 0.0000 0.5000 0.2364 (multiplicity 2)
Pm 0.5000 0.5000 0.5000 (multiplicity 1)
Hg 0.5000 0.0000 0.2592 (multiplicity 2)
Hg 0.5000 0.5000 0.0000 (multiplicity 1)